This entry pairs a crystal structure of VN2F6 with its simulated powder XRD pattern. Radiation: Cu Kα (weighted mean of Kα1 and Kα2). Structure: a cell relaxed with PBE+U.
No peak broadening, texture or thermal motion is included.

Most intense lines, 10° ≤ 2θ ≤ 90°, low angle first:
19.0 deg, d = 4.663 Å, I 100; 22.0 deg, d = 4.039 Å, I 43; 31.3 deg, d = 2.856 Å, I 15; 36.9 deg, d = 2.435 Å, I 21; 38.6 deg, d = 2.332 Å, I 24; 44.9 deg, d = 2.019 Å, I 48; 59.5 deg, d = 1.554 Å, I 17; 65.4 deg, d = 1.428 Å, I 22

Crystal structure
```
9
Lattice="0.000 4.039 4.039 4.039 0.000 4.039 4.039 4.039 0.000" Properties=species:S:1:pos:R:3 pbc="T T T"
V 0.000 0.000 0.000
N 2.019 2.019 2.019
N 6.058 6.058 6.058
F 4.039 4.039 1.817
F 4.039 1.817 4.039
F 6.260 4.039 4.039
F 1.817 4.039 4.039
F 4.039 6.260 4.039
F 4.039 4.039 6.260
```